Diffraction record for Li4TiCrO6. The PXRD pattern is computed, not measured: it uses a DFT-relaxed cell (PBE+U, the Materials Project) and CuKα.
No peak broadening, texture or thermal motion is included.

Main lines, sorted by position (2θ = 5–70°):
- (0 0 2), d 4.826, 18.4°, rel. 100.0
- (1 -1 0), d 4.393, 20.2°, rel. 19.6
- (1 1 -1), d 4.194, 21.2°, rel. 35.9
- (1 1 1), d 3.749, 23.7°, rel. 24.5
- (2 0 -1), d 2.496, 36.0°, rel. 22.9
- (1 -3 3), d 2.080, 43.5°, rel. 38.6
- (2 0 -3), d 2.072, 43.7°, rel. 75.8
- (1 3 -6), d 1.471, 63.2°, rel. 19.7

Structural model:
```
data_Li4TiCrO6
_chemical_formula_sum 'Li16 Ti4 Cr4 O24'
_cell_length_a 5.066
_cell_length_b 8.769
_cell_length_c 9.798
_cell_angle_alpha 98.65
_cell_angle_beta 94.73
_cell_angle_gamma 90.21
_symmetry_space_group_name_H-M 'P 1'
_symmetry_Int_Tables_number 1
loop_
_symmetry_equiv_pos_as_xyz
'x,y,z'
loop_
_atom_site_label
_atom_site_fract_x
_atom_site_fract_y
_atom_site_fract_z
Li1 0.000 0.000 0.000
Li2 0.001 0.328 0.999
Li3 0.006 0.656 0.998
Li4 0.128 0.454 0.749
Li5 0.241 0.245 0.498
Li6 0.252 0.577 0.500
Li7 0.264 0.911 0.499
Li8 0.380 0.704 0.249
Li9 0.497 0.829 0.999
Li10 0.500 0.499 0.000
Li11 0.510 0.158 0.999
Li12 0.628 0.952 0.749
Li13 0.746 0.746 0.500
Li14 0.747 0.079 0.499
Li15 0.764 0.411 0.499
Li16 0.880 0.204 0.249
Ti1 0.126 0.116 0.749
Ti2 0.376 0.368 0.249
Ti3 0.624 0.290 0.748
Ti4 0.874 0.868 0.248
Cr1 0.128 0.781 0.749
Cr2 0.379 0.037 0.249
Cr3 0.629 0.626 0.750
Cr4 0.880 0.538 0.250
O1 0.039 0.717 0.361
O2 0.078 0.399 0.366
O3 0.079 0.044 0.361
O4 0.173 0.507 0.135
O5 0.184 0.864 0.137
O6 0.214 0.186 0.135
O7 0.288 0.968 0.861
O8 0.318 0.654 0.863
O9 0.324 0.294 0.863
O10 0.431 0.112 0.635
O11 0.438 0.752 0.635
O12 0.467 0.438 0.637
O13 0.539 0.217 0.361
O14 0.577 0.899 0.365
O15 0.580 0.544 0.361
O16 0.673 0.007 0.135
O17 0.685 0.365 0.137
O18 0.713 0.686 0.134
O19 0.789 0.476 0.861
O20 0.818 0.791 0.862
O21 0.824 0.151 0.865
O22 0.931 0.255 0.633
O23 0.938 0.617 0.637
O24 0.967 0.930 0.637
```

***

Diffraction record for Li2Ti3CrO8. The PXRD pattern is computed, not measured: it uses a DFT-relaxed cell (PBE+U, the Materials Project) and CuKα.
No peak broadening, texture or thermal motion is included.

Main lines, sorted by position (2θ = 5–70°):
- (2 0 0), d 4.914, 18.1°, rel. 29.0
- (0 0 2), d 4.872, 18.2°, rel. 100.0
- (4 0 -2), d 2.560, 35.1°, rel. 15.4
- (3 1 -3), d 2.547, 35.2°, rel. 39.4
- (2 2 2), d 2.114, 42.8°, rel. 76.5
- (2 2 4), d 1.627, 56.6°, rel. 12.4
- (4 0 4), d 1.500, 61.9°, rel. 22.9
- (0 4 0), d 1.490, 62.3°, rel. 22.6

Structural model:
```
data_Li2Ti3CrO8
_chemical_formula_sum 'Li8 Ti12 Cr4 O32'
_cell_length_a 10.415
_cell_length_b 5.964
_cell_length_c 10.318
_cell_angle_alpha 90.00
_cell_angle_beta 109.34
_cell_angle_gamma 90.00
_symmetry_space_group_name_H-M 'C 1 2/m 1'
_symmetry_Int_Tables_number 12
loop_
_symmetry_equiv_pos_as_xyz
'x,y,z'
'-x,-y,-z'
'-x,y,-z'
'x,-y,z'
'x+1/2,y+1/2,z'
'-x+1/2,-y+1/2,-z'
'-x+1/2,y+1/2,-z'
'x+1/2,-y+1/2,z'
loop_
_atom_site_label
_atom_site_fract_x
_atom_site_fract_y
_atom_site_fract_z
Li1 0.187 0.000 0.062
Li2 0.187 0.500 0.562
Ti1 0.000 0.000 0.500
Ti2 0.000 0.249 0.250
Ti3 0.000 0.500 0.000
Cr1 0.250 0.000 0.750
O1 0.107 0.000 0.368
O2 0.107 0.500 0.869
O3 0.116 0.000 0.856
O4 0.116 0.500 0.356
O5 0.117 0.226 0.631
O6 0.117 0.275 0.130
```

***

Diffraction record for Li4TiCrO6. The PXRD pattern is computed, not measured: it uses a DFT-relaxed cell (PBE+U, the Materials Project) and CuKα.
No peak broadening, texture or thermal motion is included.

Main lines, sorted by position (2θ = 5–70°):
- (0 0 2), d 4.834, 18.4°, rel. 87.5
- (1 -1 0), d 4.394, 20.2°, rel. 17.0
- (1 1 -1), d 4.195, 21.2°, rel. 31.1
- (1 1 1), d 3.755, 23.7°, rel. 21.4
- (2 0 -1), d 2.495, 36.0°, rel. 29.5
- (2 0 -3), d 2.076, 43.6°, rel. 100.0
- (2 0 5), d 1.475, 63.0°, rel. 17.2
- (3 3 -1), d 1.461, 63.7°, rel. 16.8

Structural model:
```
data_Li4TiCrO6
_chemical_formula_sum 'Li16 Ti4 Cr4 O24'
_cell_length_a 5.070
_cell_length_b 8.768
_cell_length_c 9.811
_cell_angle_alpha 98.46
_cell_angle_beta 94.85
_cell_angle_gamma 90.14
_symmetry_space_group_name_H-M 'P 1'
_symmetry_Int_Tables_number 1
loop_
_symmetry_equiv_pos_as_xyz
'x,y,z'
loop_
_atom_site_label
_atom_site_fract_x
_atom_site_fract_y
_atom_site_fract_z
Li1 0.000 0.000 0.000
Li2 0.000 0.323 0.999
Li3 0.120 0.123 0.750
Li4 0.232 0.912 0.499
Li5 0.250 0.250 0.500
Li6 0.261 0.584 0.501
Li7 0.373 0.372 0.251
Li8 0.494 0.173 0.001
Li9 0.499 0.501 0.000
Li10 0.500 0.823 0.999
Li11 0.620 0.623 0.750
Li12 0.731 0.412 0.499
Li13 0.749 0.751 0.500
Li14 0.760 0.084 0.501
Li15 0.873 0.872 0.250
Li16 0.995 0.673 0.002
Ti1 0.125 0.459 0.751
Ti2 0.372 0.042 0.250
Ti3 0.624 0.959 0.751
Ti4 0.878 0.542 0.252
Cr1 0.120 0.789 0.750
Cr2 0.376 0.706 0.251
Cr3 0.621 0.290 0.750
Cr4 0.871 0.206 0.250
O1 0.033 0.390 0.362
O2 0.063 0.075 0.365
O3 0.067 0.715 0.365
O4 0.180 0.176 0.133
O5 0.183 0.537 0.138
O6 0.212 0.853 0.139
O7 0.287 0.641 0.865
O8 0.317 0.962 0.862
O9 0.329 0.320 0.865
O10 0.421 0.783 0.639
O11 0.422 0.428 0.634
O12 0.462 0.111 0.638
O13 0.531 0.890 0.362
O14 0.565 0.574 0.365
O15 0.566 0.214 0.365
O16 0.680 0.676 0.135
O17 0.684 0.037 0.138
O18 0.713 0.352 0.139
O19 0.787 0.141 0.865
O20 0.817 0.462 0.862
O21 0.829 0.820 0.864
O22 0.921 0.283 0.639
O23 0.922 0.928 0.634
O24 0.962 0.611 0.638
```